(1)
Calculated powder XRD pattern of NaCaMgCrSi4O12 for λ = 1.5418 Å (Cu Kα), from a crystal structure in Alexandria, relaxed with GGA+U.
No peak broadening, texture or thermal motion is included.

Crystal structure
```
NaCaMgCrSi4O12
1.0
4.900 -4.469 0.000
4.900 4.469 0.000
-1.553 0.000 5.106
Na Ca Mg Cr Si O
1 1 1 1 4 12
Direct
0.000 0.000 0.000
0.401 0.599 0.500
0.611 0.389 0.000
0.797 0.203 0.500
0.083 0.494 0.979
0.320 0.099 0.514
0.506 0.917 0.021
0.901 0.680 0.486
0.040 0.656 0.255
0.072 0.636 0.752
0.087 0.192 0.441
0.316 0.409 0.066
0.344 0.960 0.745
0.364 0.928 0.248
0.504 0.265 0.599
0.591 0.684 0.934
0.671 0.101 0.120
0.735 0.496 0.401
0.808 0.913 0.559
0.899 0.329 0.880
```

Peak list (12 most intense, 2θ from 10° to 80°, by angle)
2θ (°)  intensity
19.9  22
29.6  100
30.3  38
30.6  20
34.8  27
35.2  41
35.7  39
42.1  20
44.2  23
55.8  17
56.3  17
65.8  30


(2)
Calculated powder XRD pattern of Na3CaMgCr3Si8O24 for λ = 1.5418 Å (Cu Kα), from a crystal structure in Alexandria, relaxed with GGA+U.
No peak broadening, texture or thermal motion is included.

Crystal structure
```
Na3CaMgCr3Si8O24
1.0
5.344 0.000 0.000
0.000 8.897 0.000
-2.436 0.000 9.331
Na Ca Mg Cr Si O
3 1 1 3 8 24
Direct
0.000 0.000 0.000
0.000 0.098 0.500
0.500 0.604 0.000
0.500 0.503 0.500
0.000 0.713 0.500
0.000 0.397 0.000
0.500 0.206 0.000
0.500 0.896 0.500
0.191 0.392 0.711
0.195 0.714 0.207
0.307 0.208 0.290
0.309 0.895 0.791
0.691 0.895 0.209
0.693 0.208 0.710
0.805 0.714 0.793
0.809 0.392 0.289
0.091 0.795 0.848
0.100 0.315 0.351
0.193 0.547 0.139
0.202 0.553 0.638
0.225 0.222 0.113
0.234 0.887 0.616
0.273 0.380 0.887
0.285 0.720 0.384
0.301 0.045 0.360
0.306 0.060 0.861
0.406 0.813 0.145
0.407 0.290 0.649
0.593 0.290 0.351
0.594 0.813 0.855
0.694 0.060 0.139
0.699 0.045 0.640
0.715 0.720 0.616
0.727 0.380 0.113
0.766 0.887 0.384
0.775 0.222 0.887
0.798 0.553 0.362
0.807 0.547 0.861
0.900 0.315 0.649
0.909 0.795 0.152
```

Peak list (12 most intense, 2θ from 10° to 80°, by angle)
2θ (°)  intensity
13.8  21
19.9  26
29.6  100
30.4  44
34.9  26
35.2  40
35.9  39
40.6  17
42.2  24
55.7  17
56.5  17
66.2  18